(1)
Diffraction record for Li5CrP2O8F2. The powder XRD pattern is simulated, not measured: it uses a DFT-relaxed cell (GGA+U, the Materials Project) and Cu Kα, 1.54184 Å.
Peak positions follow from Bragg's law for the DFT cell and can differ from measured ones.

Cell and atoms:
a b c (Å): 10.057 10.057 6.505
angles (deg): 90.00 90.00 120.00
Element x y z (fractional)
Li 0.000 0.000 0.000
Li 0.000 0.000 0.419
Li 0.015 0.532 0.697
Li 0.166 0.333 0.459
Li 0.168 0.834 0.459
Li 0.324 0.140 0.223
Li 0.333 0.667 0.502
Li 0.333 0.667 0.922
Li 0.468 0.483 0.697
Li 0.517 0.985 0.697
Li 0.667 0.333 0.442
Li 0.667 0.333 0.923
Li 0.667 0.832 0.459
Li 0.816 0.676 0.223
Li 0.860 0.184 0.223
Cr 0.166 0.334 0.961
Cr 0.168 0.834 0.961
Cr 0.666 0.832 0.961
P 0.037 0.524 0.221
P 0.297 0.144 0.701
P 0.476 0.512 0.221
P 0.488 0.963 0.221
P 0.847 0.703 0.701
P 0.856 0.153 0.701
O 0.016 0.734 0.725
O 0.065 0.385 0.195
O 0.118 0.613 0.418
O 0.121 0.627 0.029
O 0.214 0.041 0.891
O 0.219 0.057 0.503
O 0.266 0.282 0.725
O 0.321 0.935 0.195
O 0.373 0.494 0.029
O 0.387 0.506 0.418
O 0.471 0.202 0.704
O 0.494 0.882 0.418
O 0.506 0.879 0.029
O 0.530 0.394 0.221
O 0.606 0.136 0.221
O 0.615 0.679 0.195
O 0.718 0.984 0.725
O 0.731 0.529 0.704
O 0.798 0.269 0.704
O 0.828 0.786 0.891
O 0.838 0.781 0.503
O 0.864 0.470 0.221
O 0.943 0.162 0.503
O 0.959 0.172 0.891
F 0.032 0.842 0.176
F 0.158 0.190 0.176
F 0.175 0.478 0.744
F 0.303 0.825 0.744
F 0.522 0.697 0.744
F 0.810 0.968 0.176

Main lines, low angle first (15° ≤ 2θ ≤ 90°):
hkl	2θ/deg	I/Imax
0 1 1	17.01	228
1 1 0	17.64	212
2 0 1	24.60	1000
3 0 0	30.80	136
0 2 2	34.41	223
2 2 1	38.38	228
2 1 2	38.93	176
0 2 3	46.83	121
4 0 2	50.43	291
2 4 2	63.32	138


(2)
Diffraction record for Sr10Fe10O29. The powder XRD pattern is simulated, not measured: it uses a DFT-relaxed cell (GGA+U, the Materials Project) and Cu Kα, 1.54184 Å.
Peak positions follow from Bragg's law for the DFT cell and can differ from measured ones.

Cell and atoms:
a b c (Å): 3.906 7.852 19.696
angles (deg): 90.00 90.00 90.00
Element x y z (fractional)
Sr 0.000 0.233 0.000
Sr 0.000 0.246 0.202
Sr 0.000 0.246 0.798
Sr 0.000 0.249 0.400
Sr 0.000 0.249 0.600
Sr 0.000 0.751 0.400
Sr 0.000 0.751 0.600
Sr 0.000 0.754 0.202
Sr 0.000 0.754 0.798
Sr 0.000 0.767 0.000
Fe 0.500 0.000 0.100
Fe 0.500 0.000 0.300
Fe 0.500 0.000 0.500
Fe 0.500 0.000 0.700
Fe 0.500 0.000 0.900
Fe 0.500 0.500 0.106
Fe 0.500 0.500 0.301
Fe 0.500 0.500 0.500
Fe 0.500 0.500 0.699
Fe 0.500 0.500 0.894
O 0.000 0.000 0.100
O 0.000 0.000 0.299
O 0.000 0.000 0.500
O 0.000 0.000 0.701
O 0.000 0.000 0.900
O 0.000 0.500 0.087
O 0.000 0.500 0.299
O 0.000 0.500 0.500
O 0.000 0.500 0.701
O 0.000 0.500 0.913
O 0.500 0.000 0.000
O 0.500 0.000 0.198
O 0.500 0.000 0.401
O 0.500 0.000 0.599
O 0.500 0.000 0.802
O 0.500 0.249 0.299
O 0.500 0.249 0.701
O 0.500 0.251 0.500
O 0.500 0.260 0.093
O 0.500 0.260 0.907
O 0.500 0.500 0.202
O 0.500 0.500 0.399
O 0.500 0.500 0.601
O 0.500 0.500 0.798
O 0.500 0.740 0.093
O 0.500 0.740 0.907
O 0.500 0.749 0.500
O 0.500 0.751 0.299
O 0.500 0.751 0.701

Main lines, low angle first (15° ≤ 2θ ≤ 90°):
hkl	2θ/deg	I/Imax
1 0 5	32.23	1000
1 2 0	32.33	472
1 2 5	39.79	182
0 0 10	46.08	184
0 4 0	46.25	184
2 0 0	46.50	184
1 2 10	57.41	181
1 4 5	57.52	183
2 2 5	57.68	185
2 4 0	67.67	104